Computed powder diffraction line list of Ac2ErSb2Se2 for Cu Kα X-rays, from DFT lattice parameters and positions (PBE).
Peak positions follow from Bragg's law for the DFT cell and can differ from measured ones.

Largest 8 diffraction maxima, by angle, 2θ = 15–90°:
| 2θ/deg | I (rel.) | hkl |
| --- | --- | --- |
| 21.98 | 64 | 1 1 0 |
| 23.13 | 52 | 1 0 3 |
| 31.29 | 100 | 2 0 0 |
| 31.90 | 54 | 1 1 4 |
| 32.73 | 52 | 1 0 5 |
| 39.27 | 28 | 2 1 3 |
| 44.83 | 37 | 2 2 0 |
| 45.90 | 41 | 2 1 5 |

Cell and atoms:
```
data_Ac2ErSb2Se2
_symmetry_space_group_name_H-M 'I 4/m m m'
_symmetry_Int_Tables_number 139
_symmetry_space_group_name_Hall '-I 4 2'
_cell_length_a 5.718
_cell_length_b 5.718
_cell_length_c 15.583
_cell_angle_alpha 90.00
_cell_angle_beta 90.00
_cell_angle_gamma 90.00
loop_
_atom_site_label
_atom_site_type_symbol
_atom_site_fract_x
_atom_site_fract_y
_atom_site_fract_z
Ac1 Ac 0.000 0.000 0.131
Er1 Er 0.000 0.000 0.500
Sb1 Sb 0.000 0.500 0.000
Se1 Se 0.000 0.000 0.319
```